Starting from the GGA-PBE geometry in OQMD, the powder X-ray diffraction pattern of Li2Pt3Se4 was simulated for a wavelength of 1.5418 Å.
No peak broadening, texture or thermal motion is included.

Structure:
```
data_Li2Pt3Se4
_chemical_formula_sum 'Li4 Pt6 Se8'
_cell_length_a 5.340
_cell_length_b 10.541
_cell_length_c 6.425
_cell_angle_alpha 90.00
_cell_angle_beta 111.77
_cell_angle_gamma 90.00
_symmetry_space_group_name_H-M 'P 1'
_symmetry_Int_Tables_number 1
loop_
_symmetry_equiv_pos_as_xyz
'x,y,z'
loop_
_atom_site_label
_atom_site_type_symbol
_atom_site_fract_x
_atom_site_fract_y
_atom_site_fract_z
Li1 Li 0.115 0.197 0.463
Li2 Li 0.115 0.303 0.963
Li3 Li 0.885 0.697 0.037
Li4 Li 0.885 0.803 0.537
Pt1 Pt 0.224 0.630 0.474
Pt2 Pt 0.224 0.870 0.974
Pt3 Pt 0.500 0.000 0.500
Pt4 Pt 0.500 0.500 0.000
Pt5 Pt 0.776 0.130 0.026
Pt6 Pt 0.776 0.370 0.526
Se1 Se 0.030 0.553 0.745
Se2 Se 0.030 0.947 0.245
Se3 Se 0.466 0.690 0.222
Se4 Se 0.466 0.810 0.722
Se5 Se 0.534 0.190 0.278
Se6 Se 0.534 0.310 0.778
Se7 Se 0.970 0.053 0.755
Se8 Se 0.970 0.447 0.255
```

The 12 most intense peaks (2θ = 10–80°), most intense first:
Position (°2θ)  intensity  (hkl)
19.8  1000  1 1 0
32.3  987  1 2 1
29.5  780  0 3 1
33.4  518  1 2 -2
20.4  463  1 1 -1
28.6  440  1 1 1
29.9  403  1 1 -2
45.7  379  1 2 -3
34.7  362  2 1 -1
50.5  318  2 4 0
45.3  315  2 1 1
47.6  275  2 1 -3


Starting from the GGA-PBE geometry in OQMD, the powder X-ray diffraction pattern of DyMgB4 was simulated for a wavelength of 1.5418 Å.
No peak broadening, texture or thermal motion is included.

Structure:
```
data_DyMgB4
_chemical_formula_sum 'Dy2 Mg2 B8'
_cell_length_a 3.197
_cell_length_b 5.450
_cell_length_c 7.600
_cell_angle_alpha 90.00
_cell_angle_beta 90.00
_cell_angle_gamma 90.00
_symmetry_space_group_name_H-M 'P 1'
_symmetry_Int_Tables_number 1
loop_
_symmetry_equiv_pos_as_xyz
'x,y,z'
loop_
_atom_site_label
_atom_site_type_symbol
_atom_site_fract_x
_atom_site_fract_y
_atom_site_fract_z
Dy1 Dy 0.000 0.000 0.000
Dy2 Dy 0.500 0.500 0.500
Mg1 Mg 0.000 0.000 0.500
Mg2 Mg 0.500 0.500 0.000
B1 B 0.000 0.329 0.254
B2 B 0.000 0.329 0.746
B3 B 0.000 0.671 0.254
B4 B 0.000 0.671 0.746
B5 B 0.500 0.171 0.246
B6 B 0.500 0.171 0.754
B7 B 0.500 0.829 0.246
B8 B 0.500 0.829 0.754
```

The 12 most intense peaks (2θ = 10–80°), most intense first:
Position (°2θ)  intensity  (hkl)
20.0  1000  0 1 1
40.4  744  1 1 2
32.5  488  1 1 0
23.4  423  0 0 2
40.7  372  0 2 2
30.3  357  1 0 1
45.3  245  1 2 1
32.9  229  0 2 0
59.0  183  1 1 4
39.2  180  0 1 3
58.4  141  1 3 0
47.9  130  0 0 4


Starting from the GGA-PBE geometry in OQMD, the powder X-ray diffraction pattern of Nd2Al3Hg3 was simulated for a wavelength of 1.5418 Å.
No peak broadening, texture or thermal motion is included.

Structure:
```
data_Nd2Al3Hg3
_chemical_formula_sum 'Nd2 Al3 Hg3'
_cell_length_a 6.642
_cell_length_b 4.793
_cell_length_c 6.650
_cell_angle_alpha 90.00
_cell_angle_beta 119.23
_cell_angle_gamma 90.00
_symmetry_space_group_name_H-M 'P 1'
_symmetry_Int_Tables_number 1
loop_
_symmetry_equiv_pos_as_xyz
'x,y,z'
loop_
_atom_site_label
_atom_site_type_symbol
_atom_site_fract_x
_atom_site_fract_y
_atom_site_fract_z
Nd1 Nd 0.000 0.000 0.000
Nd2 Nd 0.332 0.500 0.675
Al1 Al 0.526 0.000 0.047
Al2 Al 0.829 0.500 0.640
Al3 Al 0.966 0.000 0.492
Hg1 Hg 0.348 0.500 0.170
Hg2 Hg 0.528 0.000 0.508
Hg3 Hg 0.831 0.500 0.188
```

The 12 most intense peaks (2θ = 10–80°), most intense first:
Position (°2θ)  intensity  (hkl)
36.2  1000  2 1 0
36.5  420  2 1 -2
24.2  320  1 1 -1
37.5  294  0 2 0
30.8  235  0 0 2
68.8  180  2 2 -4
55.3  172  2 0 -4
66.9  170  2 3 0
15.3  166  0 0 1
24.1  160  0 1 1
31.2  157  2 0 -2
67.5  133  0 1 4


Starting from the GGA-PBE geometry in OQMD, the powder X-ray diffraction pattern of KZn4SbO7 was simulated for a wavelength of 1.5418 Å.
No peak broadening, texture or thermal motion is included.

Structure:
```
data_KZn4SbO7
_chemical_formula_sum 'K2 Zn8 Sb2 O14'
_cell_length_a 6.164
_cell_length_b 6.164
_cell_length_c 9.990
_cell_angle_alpha 90.00
_cell_angle_beta 90.00
_cell_angle_gamma 120.00
_symmetry_space_group_name_H-M 'P 1'
_symmetry_Int_Tables_number 1
loop_
_symmetry_equiv_pos_as_xyz
'x,y,z'
loop_
_atom_site_label
_atom_site_type_symbol
_atom_site_fract_x
_atom_site_fract_y
_atom_site_fract_z
K1 K 0.333 0.667 0.000
K2 K 0.667 0.333 0.500
Zn1 Zn 0.000 0.000 0.070
Zn2 Zn 0.000 0.000 0.570
Zn3 Zn 0.174 0.347 0.316
Zn4 Zn 0.174 0.826 0.316
Zn5 Zn 0.347 0.174 0.816
Zn6 Zn 0.653 0.826 0.316
Zn7 Zn 0.826 0.174 0.816
Zn8 Zn 0.826 0.653 0.816
Sb1 Sb 0.333 0.667 0.627
Sb2 Sb 0.667 0.333 0.127
O1 O 0.000 0.000 0.265
O2 O 0.000 0.000 0.765
O3 O 0.024 0.512 0.743
O4 O 0.178 0.356 0.512
O5 O 0.178 0.822 0.512
O6 O 0.356 0.178 0.012
O7 O 0.488 0.512 0.743
O8 O 0.488 0.976 0.743
O9 O 0.512 0.024 0.243
O10 O 0.512 0.488 0.243
O11 O 0.644 0.822 0.512
O12 O 0.822 0.178 0.012
O13 O 0.822 0.644 0.012
O14 O 0.976 0.488 0.243
```

The 12 most intense peaks (2θ = 10–80°), most intense first:
Position (°2θ)  intensity  (hkl)
34.2  1000  1 1 2
34.8  996  2 0 1
31.7  685  1 0 3
18.8  517  1 0 1
60.0  423  2 2 0
57.6  413  2 0 5
53.1  280  2 1 3
29.0  274  1 1 0
54.8  256  3 0 2
36.0  196  0 0 4
66.1  176  2 0 6
58.8  142  2 1 4